(1)
# BeAsPb2O6
Computed powder XRD pattern, Cu Kα X-rays. Input: DFT lattice parameters and positions (PBE).
Lines closer than 0.1° are merged.

Main lines, by angle (2θ = 5–70°):
20.0°, d = 4.450 Å, I = 22.9
25.1°, d = 3.552 Å, I = 47.0
29.9°, d = 2.987 Å, I = 87.8
32.9°, d = 2.721 Å, I = 100.0
41.8°, d = 2.160 Å, I = 27.6
45.1°, d = 2.011 Å, I = 45.3
56.9°, d = 1.618 Å, I = 28.5
69.0°, d = 1.361 Å, I = 23.3

Crystal structure
Cell: 9.541 9.541 9.541 Å, 33.14 33.14 33.14°
Sites, in units of the cell vectors:
Be: 0.000 0.000 0.000
Be: 0.500 0.500 0.500
As: 0.090 0.090 0.090
As: 0.910 0.910 0.910
Pb: 0.215 0.215 0.215
Pb: 0.375 0.375 0.375
Pb: 0.625 0.625 0.625
Pb: 0.785 0.785 0.785
O: 0.106 0.106 0.656
O: 0.106 0.656 0.106
O: 0.209 0.707 0.707
O: 0.293 0.293 0.791
O: 0.293 0.791 0.293
O: 0.344 0.894 0.894
O: 0.656 0.106 0.106
O: 0.707 0.209 0.707
O: 0.707 0.707 0.209
O: 0.791 0.293 0.293
O: 0.894 0.344 0.894
O: 0.894 0.894 0.344

=====

(2)
# TbHfIr
Computed powder XRD pattern, Cu Kα X-rays. Input: DFT lattice parameters and positions (PBE).
Lines closer than 0.1° are merged.

Main lines, by angle (2θ = 5–70°):
31.9°, d = 2.802 Å, I = 81.0
35.2°, d = 2.547 Å, I = 100.0
39.0°, d = 2.310 Å, I = 36.6
39.1°, d = 2.306 Å, I = 41.2
43.8°, d = 2.066 Å, I = 37.4
44.5°, d = 2.037 Å, I = 30.1
56.4°, d = 1.632 Å, I = 25.3
60.6°, d = 1.527 Å, I = 19.9

Crystal structure
Cell: 4.612 7.055 7.055 Å, 119.91 90.00 90.00°
Sites, in units of the cell vectors:
Tb: 0.000 0.000 0.000
Tb: 0.000 0.168 0.584
Tb: 0.000 0.584 0.168
Hf: 0.500 0.331 0.331
Hf: 0.500 0.583 0.837
Hf: 0.500 0.837 0.583
Ir: 0.000 0.585 0.585
Ir: 0.500 0.250 0.917
Ir: 0.500 0.917 0.250

=====

(3)
# SrIr2Cl
Computed powder XRD pattern, Cu Kα X-rays. Input: DFT lattice parameters and positions (PBE).
Lines closer than 0.1° are merged.

Main lines, by angle (2θ = 5–70°):
11.2°, d = 7.914 Å, I = 100.0
22.5°, d = 3.957 Å, I = 26.2
26.8°, d = 3.321 Å, I = 12.1
29.7°, d = 3.003 Å, I = 27.0
32.1°, d = 2.790 Å, I = 13.1
34.0°, d = 2.638 Å, I = 13.3
42.4°, d = 2.130 Å, I = 19.4
44.2°, d = 2.049 Å, I = 7.7

Crystal structure
Cell: 7.636 3.891 8.273 Å, 90.00 106.94 90.00°
Sites, in units of the cell vectors:
Sr: 0.000 0.000 0.000
Sr: 0.500 0.500 0.000
Ir: 0.261 0.500 0.305
Ir: 0.451 0.000 0.309
Ir: 0.761 0.000 0.305
Ir: 0.951 0.500 0.309
Cl: 0.253 0.000 0.802
Cl: 0.753 0.500 0.802

=====

(4)
# La3ErCu4
Computed powder XRD pattern, Cu Kα X-rays. Input: DFT lattice parameters and positions (PBE).
Lines closer than 0.1° are merged.

Main lines, by angle (2θ = 5–70°):
24.5°, d = 3.627 Å, I = 8.7
24.8°, d = 3.584 Å, I = 15.6
35.2°, d = 2.549 Å, I = 100.0
35.4°, d = 2.534 Å, I = 51.7
43.6°, d = 2.077 Å, I = 7.8
51.0°, d = 1.792 Å, I = 18.2
63.0°, d = 1.475 Å, I = 15.4
63.5°, d = 1.466 Å, I = 34.8

Crystal structure
Cell: 3.584 3.584 14.506 Å, 90.00 90.00 90.00°
Sites, in units of the cell vectors:
La: 0.000 0.000 0.000
La: 0.000 0.000 0.257
La: 0.000 0.000 0.743
Er: 0.000 0.000 0.500
Cu: 0.500 0.500 0.128
Cu: 0.500 0.500 0.395
Cu: 0.500 0.500 0.605
Cu: 0.500 0.500 0.872

=====

(5)
# HoIn2Hg9
Computed powder XRD pattern, Cu Kα X-rays. Input: DFT lattice parameters and positions (PBE).
Lines closer than 0.1° are merged.

Main lines, by angle (2θ = 5–70°):
6.0°, d = 14.759 Å, I = 1.7
18.0°, d = 4.921 Å, I = 1.7
33.3°, d = 2.687 Å, I = 100.0
36.5°, d = 2.460 Å, I = 39.0
42.8°, d = 2.115 Å, I = 12.8
52.6°, d = 1.740 Å, I = 13.7
57.5°, d = 1.604 Å, I = 21.3
63.7°, d = 1.460 Å, I = 30.7

Crystal structure
Cell: 4.230 4.922 14.759 Å, 90.00 90.00 90.00°
Sites, in units of the cell vectors:
Ho: 0.000 0.000 0.000
In: 0.000 0.000 0.328
In: 0.000 0.000 0.672
Hg: 0.000 0.500 0.161
Hg: 0.000 0.500 0.500
Hg: 0.000 0.500 0.839
Hg: 0.500 0.000 0.160
Hg: 0.500 0.000 0.500
Hg: 0.500 0.000 0.840
Hg: 0.500 0.500 0.000
Hg: 0.500 0.500 0.330
Hg: 0.500 0.500 0.670

=====

(6)
# AlPb8
Computed powder XRD pattern, Cu Kα X-rays. Input: DFT lattice parameters and positions (PBE).
Lines closer than 0.1° are merged.

Main lines, by angle (2θ = 5–70°):
31.3°, d = 2.856 Å, I = 100.0
35.5°, d = 2.532 Å, I = 35.9
38.0°, d = 2.367 Å, I = 15.2
51.0°, d = 1.790 Å, I = 12.8
53.0°, d = 1.729 Å, I = 23.4
61.1°, d = 1.517 Å, I = 29.9
64.5°, d = 1.444 Å, I = 13.2
65.4°, d = 1.428 Å, I = 12.4

Crystal structure
Cell: 7.956 7.956 7.956 Å, 95.08 95.08 145.38°
Sites, in units of the cell vectors:
Al: 0.000 0.000 0.000
Pb: 0.000 0.330 0.330
Pb: 0.000 0.670 0.670
Pb: 0.330 0.000 0.330
Pb: 0.340 0.340 0.680
Pb: 0.340 0.660 0.000
Pb: 0.660 0.340 0.000
Pb: 0.660 0.660 0.320
Pb: 0.670 0.000 0.670

=====

(7)
# Ce5Ga2Rh5
Computed powder XRD pattern, Cu Kα X-rays. Input: DFT lattice parameters and positions (PBE).
Lines closer than 0.1° are merged.

Main lines, by angle (2θ = 5–70°):
31.2°, d = 2.869 Å, I = 46.3
31.3°, d = 2.860 Å, I = 100.0
33.2°, d = 2.696 Å, I = 61.2
33.8°, d = 2.649 Å, I = 76.9
34.8°, d = 2.576 Å, I = 63.7
37.4°, d = 2.403 Å, I = 42.6
43.1°, d = 2.099 Å, I = 42.2
48.2°, d = 1.889 Å, I = 58.8

Crystal structure
Cell: 7.035 7.035 10.538 Å, 99.81 99.81 31.15°
Sites, in units of the cell vectors:
Ce: 0.000 0.000 0.000
Ce: 0.142 0.142 0.561
Ce: 0.261 0.261 0.861
Ce: 0.739 0.739 0.139
Ce: 0.858 0.858 0.439
Ga: 0.447 0.447 0.718
Ga: 0.553 0.553 0.282
Rh: 0.197 0.197 0.316
Rh: 0.388 0.388 0.115
Rh: 0.500 0.500 0.500
Rh: 0.612 0.612 0.885
Rh: 0.803 0.803 0.684

=====

(8)
# Ba2HgSb2H2
Computed powder XRD pattern, Cu Kα X-rays. Input: DFT lattice parameters and positions (PBE).
Lines closer than 0.1° are merged.

Main lines, by angle (2θ = 5–70°):
19.1°, d = 4.644 Å, I = 33.8
24.8°, d = 3.591 Å, I = 100.0
26.7°, d = 3.336 Å, I = 80.9
27.6°, d = 3.236 Å, I = 53.6
29.3°, d = 3.044 Å, I = 50.7
36.8°, d = 2.444 Å, I = 70.1
37.4°, d = 2.404 Å, I = 47.9
38.8°, d = 2.322 Å, I = 47.9

Crystal structure
Cell: 7.123 7.182 10.061 Å, 90.00 95.94 90.00°
Sites, in units of the cell vectors:
Ba: 0.218 0.000 0.173
Ba: 0.282 0.500 0.827
Ba: 0.718 0.500 0.173
Ba: 0.782 0.000 0.827
Hg: 0.000 0.500 0.500
Hg: 0.500 0.000 0.500
Sb: 0.218 0.500 0.170
Sb: 0.282 0.000 0.830
Sb: 0.718 0.000 0.170
Sb: 0.782 0.500 0.830
H: 0.120 0.000 0.687
H: 0.380 0.500 0.313
H: 0.620 0.500 0.687
H: 0.880 0.000 0.313

=====

(9)
# PuH5Ir
Computed powder XRD pattern, Cu Kα X-rays. Input: DFT lattice parameters and positions (PBE).
Lines closer than 0.1° are merged.

Main lines, by angle (2θ = 5–70°):
26.7°, d = 3.335 Å, I = 64.5
29.6°, d = 3.019 Å, I = 100.0
37.7°, d = 2.384 Å, I = 26.2
40.3°, d = 2.238 Å, I = 89.0
46.8°, d = 1.939 Å, I = 29.8
54.5°, d = 1.684 Å, I = 18.8
63.8°, d = 1.460 Å, I = 23.7
68.2°, d = 1.375 Å, I = 19.7

Crystal structure
Cell: 3.901 4.768 6.671 Å, 90.00 90.00 90.00°
Sites, in units of the cell vectors:
Pu: 0.000 0.000 0.000
Pu: 0.500 0.500 0.500
H: 0.000 0.260 0.329
H: 0.000 0.260 0.671
H: 0.000 0.500 0.000
H: 0.000 0.740 0.329
H: 0.000 0.740 0.671
H: 0.500 0.000 0.500
H: 0.500 0.240 0.171
H: 0.500 0.240 0.829
H: 0.500 0.760 0.171
H: 0.500 0.760 0.829
Ir: 0.000 0.000 0.500
Ir: 0.500 0.500 0.000

=====

(10)
# PrY5Ho12
Computed powder XRD pattern, Cu Kα X-rays. Input: DFT lattice parameters and positions (PBE).
Lines closer than 0.1° are merged.

Main lines, by angle (2θ = 5–70°):
11.8°, d = 7.522 Å, I = 5.7
25.8°, d = 3.455 Å, I = 3.2
30.9°, d = 2.897 Å, I = 100.0
35.8°, d = 2.509 Å, I = 50.5
39.3°, d = 2.295 Å, I = 1.7
51.5°, d = 1.774 Å, I = 35.7
61.3°, d = 1.513 Å, I = 42.3
64.3°, d = 1.449 Å, I = 12.2

Crystal structure
Cell: 10.646 10.646 5.017 Å, 90.00 90.00 90.10°
Sites, in units of the cell vectors:
Pr: 0.000 0.000 0.000
Y: 0.168 0.832 0.500
Y: 0.334 0.666 0.000
Y: 0.500 0.500 0.500
Y: 0.666 0.334 0.000
Y: 0.832 0.168 0.500
Ho: 0.001 0.336 0.000
Ho: 0.166 0.499 0.500
Ho: 0.169 0.169 0.500
Ho: 0.333 0.333 0.000
Ho: 0.336 0.001 0.000
Ho: 0.499 0.166 0.500
Ho: 0.501 0.834 0.500
Ho: 0.664 0.999 0.000
Ho: 0.667 0.667 0.000
Ho: 0.831 0.831 0.500
Ho: 0.834 0.501 0.500
Ho: 0.999 0.664 0.000

=====

(11)
# Ac4LaAu5
Computed powder XRD pattern, Cu Kα X-rays. Input: DFT lattice parameters and positions (PBE).
Lines closer than 0.1° are merged.

Main lines, by angle (2θ = 5–70°):
32.6°, d = 2.751 Å, I = 100.0
32.7°, d = 2.740 Å, I = 50.3
46.5°, d = 1.953 Å, I = 9.2
46.9°, d = 1.938 Å, I = 18.8
58.0°, d = 1.590 Å, I = 19.0
58.2°, d = 1.584 Å, I = 39.1
68.2°, d = 1.375 Å, I = 11.7
68.5°, d = 1.370 Å, I = 6.2

Crystal structure
Cell: 3.876 3.876 19.526 Å, 90.00 90.00 90.00°
Sites, in units of the cell vectors:
Ac: 0.000 0.000 0.101
Ac: 0.000 0.000 0.304
Ac: 0.000 0.000 0.696
Ac: 0.000 0.000 0.899
La: 0.000 0.000 0.500
Au: 0.500 0.500 0.000
Au: 0.500 0.500 0.203
Au: 0.500 0.500 0.408
Au: 0.500 0.500 0.592
Au: 0.500 0.500 0.797

=====

(12)
# MgGa2O4
Computed powder XRD pattern, Cu Kα X-rays. Input: DFT lattice parameters and positions (PBE).
Lines closer than 0.1° are merged.

Main lines, by angle (2θ = 5–70°):
18.2°, d = 4.881 Å, I = 84.9
35.2°, d = 2.549 Å, I = 100.0
36.8°, d = 2.441 Å, I = 25.5
42.8°, d = 2.114 Å, I = 59.4
46.8°, d = 1.940 Å, I = 11.3
56.6°, d = 1.627 Å, I = 39.5
62.1°, d = 1.495 Å, I = 56.3
65.3°, d = 1.429 Å, I = 14.5

Crystal structure
Cell: 5.978 5.978 5.978 Å, 60.00 60.00 60.00°
Sites, in units of the cell vectors:
Mg: 0.125 0.125 0.125
Mg: 0.875 0.875 0.875
Ga: 0.000 0.500 0.500
Ga: 0.500 0.000 0.500
Ga: 0.500 0.500 0.000
Ga: 0.500 0.500 0.500
O: 0.261 0.261 0.261
O: 0.261 0.261 0.717
O: 0.261 0.717 0.261
O: 0.283 0.739 0.739
O: 0.717 0.261 0.261
O: 0.739 0.283 0.739
O: 0.739 0.739 0.283
O: 0.739 0.739 0.739

=====

Copy entry 1 word for word.
# BeAsPb2O6
Computed powder XRD pattern, Cu Kα X-rays. Input: DFT lattice parameters and positions (PBE).
Lines closer than 0.1° are merged.

Main lines, by angle (2θ = 5–70°):
20.0°, d = 4.450 Å, I = 22.9
25.1°, d = 3.552 Å, I = 47.0
29.9°, d = 2.987 Å, I = 87.8
32.9°, d = 2.721 Å, I = 100.0
41.8°, d = 2.160 Å, I = 27.6
45.1°, d = 2.011 Å, I = 45.3
56.9°, d = 1.618 Å, I = 28.5
69.0°, d = 1.361 Å, I = 23.3

Crystal structure
Cell: 9.541 9.541 9.541 Å, 33.14 33.14 33.14°
Sites, in units of the cell vectors:
Be: 0.000 0.000 0.000
Be: 0.500 0.500 0.500
As: 0.090 0.090 0.090
As: 0.910 0.910 0.910
Pb: 0.215 0.215 0.215
Pb: 0.375 0.375 0.375
Pb: 0.625 0.625 0.625
Pb: 0.785 0.785 0.785
O: 0.106 0.106 0.656
O: 0.106 0.656 0.106
O: 0.209 0.707 0.707
O: 0.293 0.293 0.791
O: 0.293 0.791 0.293
O: 0.344 0.894 0.894
O: 0.656 0.106 0.106
O: 0.707 0.209 0.707
O: 0.707 0.707 0.209
O: 0.791 0.293 0.293
O: 0.894 0.344 0.894
O: 0.894 0.894 0.344